Diffraction record for Pr6AgRu. The XRD peak list is simulated, not measured: it uses a cell relaxed with GGA-PBE and CuKα.
Peak positions follow from Bragg's law for the DFT cell and can differ from measured ones.

Main lines, sorted by position (15 to 90 degrees two-theta):
| two_theta | I_rel | (hkl) |
| --- | --- | --- |
| 22.90 | 17 | 1 1 1 |
| 25.69 | 27 | 2 0 0 |
| 27.32 | 30 | 0 0 2 |
| 27.96 | 48 | 1 3 -1 |
| 30.89 | 53 | 2 0 -2 |
| 31.91 | 100 | 1 3 1 |
| 43.93 | 51 | 2 0 2 |
| 46.02 | 36 | 1 3 -3 |
| 47.56 | 15 | 0 6 0 |
| 57.79 | 15 | 2 6 -2 |

Atomic structure:
abc: 7.3369 11.4706 6.9066
angles: 90.00 109.07 90.00
Space group C2/m (No. 12)
One atom of each set of equivalent atoms:
Pr1 0.2095 0.1827 0.2437 [8 per cell]
Pr2 0.2457 0.0000 0.7709 [4 per cell]
Ag1 0.0000 0.5000 0.5000 [2 per cell]
Ru1 0.0000 0.0000 0.0000 [2 per cell]